Theoretical PXRD pattern
Compound: Li2CeCoO4
Radiation: Cu Kα X-rays
Structure: the GGA+U geometry in Alexandria
Lines closer than 0.1° are merged.

Main lines, by angle (2θ = 5–70°):
hkl 1 0 1, 2θ = 21.63°, d 4.108, I 35
hkl 1 1 0, 2θ = 23.94°, d 3.717, I 100
hkl 0 0 2, 2θ = 27.08°, d 3.293, I 30
hkl 2 0 0, 2θ = 34.12°, d 2.628, I 23
hkl 1 1 2, 2θ = 36.46°, d 2.465, I 88
hkl 2 0 2, 2θ = 44.09°, d 2.054, I 45
hkl 2 2 0, 2θ = 49.02°, d 1.858, I 28
hkl 3 1 0, 2θ = 55.27°, d 1.662, I 19
hkl 3 1 2, 2θ = 62.61°, d 1.484, I 34
hkl 2 0 4, 2θ = 67.09°, d 1.395, I 19

Cell and atoms:
a = 5.2561 Å, b = 5.2561 Å, c = 6.5854 Å
α = 90.00°, β = 90.00°, γ = 90.00°
Space group I-42m (No. 121)
Symmetry-distinct sites (fractional):
Li: 0.0000 0.5000 0.2500 x4
Ce: 0.0000 0.0000 0.0000 x2
Co: 0.0000 0.0000 0.5000 x2
O: 0.2332 0.2332 0.6449 x8